This entry pairs a crystal structure of RbTlGe with its theoretical powder diffractogram. Radiation: λ = 1.5418 Å (Cu Kα). Structure: DFT lattice parameters and positions (PBE).
No peak broadening, texture or thermal motion is included.

Cell: 4.2417 6.7890 8.3504 Å, 90.12 90.00 90.28°
Element x y z (fractional)
Rb 0.0000 0.0000 0.0000
Rb 0.0006 0.5005 0.3278
Tl 0.4989 0.7434 0.6778
Tl 0.5013 0.2596 0.6791
Ge 0.9999 0.0015 0.5209
Ge 0.4999 0.0013 0.3433

Largest 10 diffraction maxima, sorted by position, 2θ = 10–80°:
d_spacing	I (rel.)
8.350	1000
3.782	504
3.145	473
2.976	394
2.783	225
2.727	162
2.657	199
2.644	196
2.634	352
2.121	167



This entry pairs a crystal structure of BaHoMnS4 with its theoretical powder diffractogram. Radiation: λ = 1.5418 Å (Cu Kα). Structure: DFT lattice parameters and positions (PBE).
No peak broadening, texture or thermal motion is included.

Cell: 6.5713 6.2924 8.5898 Å, 90.00 107.90 90.00°
Element x y z (fractional)
Ba 0.2417 0.2500 0.4391
Ba 0.7583 0.7500 0.5609
Ho 0.2618 0.2500 0.9438
Ho 0.7382 0.7500 0.0562
Mn 0.2675 0.7500 0.1732
Mn 0.7325 0.2500 0.8268
S 0.0596 0.7500 0.9132
S 0.0727 0.7500 0.3521
S 0.4873 0.5081 0.7852
S 0.4873 0.9919 0.7852
S 0.5127 0.0081 0.2148
S 0.5127 0.4919 0.2148
S 0.9273 0.2500 0.6479
S 0.9404 0.2500 0.0868

Largest 10 diffraction maxima, sorted by position, 2θ = 10–80°:
d_spacing	I (rel.)
4.435	1000
3.427	395
3.397	413
3.146	619
2.961	349
2.724	669
2.679	592
2.493	336
2.218	507
2.146	345



This entry pairs a crystal structure of Np2Ga3Ni with its theoretical powder diffractogram. Radiation: λ = 1.5418 Å (Cu Kα). Structure: DFT lattice parameters and positions (PBE).
No peak broadening, texture or thermal motion is included.

Cell: 5.5588 5.5588 7.9401 Å, 90.00 90.00 120.00°
Element x y z (fractional)
Np 0.3333 0.6667 0.0885
Np 0.3333 0.6667 0.4115
Np 0.6667 0.3333 0.5885
Np 0.6667 0.3333 0.9115
Ga 0.1653 0.3307 0.7500
Ga 0.1653 0.8347 0.7500
Ga 0.3307 0.1653 0.2500
Ga 0.6693 0.8347 0.7500
Ga 0.8347 0.1653 0.2500
Ga 0.8347 0.6693 0.2500
Ni 0.0000 0.0000 0.0000
Ni 0.0000 0.0000 0.5000

Largest 10 diffraction maxima, sorted by position, 2θ = 10–80°:
d_spacing	I (rel.)
4.814	227
4.117	449
2.779	796
2.407	199
2.319	1000
2.303	745
2.277	525
1.605	159
1.499	531
1.390	260



This entry pairs a crystal structure of Nd3TmPb2 with its theoretical powder diffractogram. Radiation: λ = 1.5418 Å (Cu Kα). Structure: DFT lattice parameters and positions (PBE).
No peak broadening, texture or thermal motion is included.

Cell: 4.6628 4.6628 8.8345 Å, 90.00 90.00 90.00°
Element x y z (fractional)
Nd 0.0000 0.0000 0.0000
Nd 0.0000 0.5000 0.6549
Nd 0.5000 0.0000 0.3451
Tm 0.5000 0.5000 0.0000
Pb 0.0000 0.5000 0.2807
Pb 0.5000 0.0000 0.7193

Largest 10 diffraction maxima, sorted by position, 2θ = 10–80°:
d_spacing	I (rel.)
3.297	208
3.089	731
2.945	352
2.642	1000
2.490	222
2.331	566
1.828	357
1.649	197
1.438	164
1.399	286



This entry pairs a crystal structure of K2NaPS4 with its theoretical powder diffractogram. Radiation: λ = 1.5418 Å (Cu Kα). Structure: DFT lattice parameters and positions (PBE).
No peak broadening, texture or thermal motion is included.

Cell: 7.9304 7.9304 8.4559 Å, 111.71 111.71 90.22°
Element x y z (fractional)
K 0.0000 0.0000 0.0000
K 0.0000 0.0000 0.5000
K 0.0000 0.5000 0.0000
K 0.5000 0.0000 0.5000
Na 0.5000 0.5000 0.0000
Na 0.5000 0.5000 0.5000
P 0.0000 0.5000 0.5000
P 0.5000 0.0000 0.0000
S 0.1686 0.6505 0.4250
S 0.2201 0.3510 0.5734
S 0.3495 0.8314 0.0750
S 0.3510 0.2201 0.0734
S 0.6490 0.7799 0.9266
S 0.6505 0.1686 0.9250
S 0.7799 0.6490 0.4266
S 0.8314 0.3495 0.5750

Largest 10 diffraction maxima, sorted by position, 2θ = 10–80°:
d_spacing	I (rel.)
4.324	344
3.635	195
3.600	1000
3.404	154
2.809	438
2.763	479
2.637	307
2.215	293
2.162	260
2.040	210



This entry pairs a crystal structure of La4YS4 with its theoretical powder diffractogram. Radiation: λ = 1.5418 Å (Cu Kα). Structure: DFT lattice parameters and positions (PBE).
No peak broadening, texture or thermal motion is included.

Cell: 7.0621 7.0621 7.0621 Å, 99.91 99.91 130.98°
Element x y z (fractional)
La 0.0983 0.3002 0.3986
La 0.3002 0.9017 0.2019
La 0.6998 0.0983 0.7981
La 0.9017 0.6998 0.6014
Y 0.5000 0.5000 0.0000
S 0.2083 0.5968 0.8051
S 0.4032 0.2083 0.6115
S 0.5968 0.7917 0.3885
S 0.7917 0.4032 0.1949

Largest 10 diffraction maxima, sorted by position, 2θ = 10–80°:
d_spacing	I (rel.)
3.339	1000
2.930	423
2.874	811
2.051	602
2.032	290
1.760	167
1.736	322
1.670	308
1.330	132
1.305	135



This entry pairs a crystal structure of Mo5Pt2Rh4 with its theoretical powder diffractogram. Radiation: λ = 1.5418 Å (Cu Kα). Structure: DFT lattice parameters and positions (PBE).
No peak broadening, texture or thermal motion is included.

Cell: 6.0548 14.5252 3.9061 Å, 90.00 90.00 90.00°
Element x y z (fractional)
Mo 0.0000 0.0000 0.0000
Mo 0.0918 0.4146 0.0000
Mo 0.1941 0.1778 0.0000
Mo 0.3059 0.6778 0.0000
Mo 0.4082 0.9146 0.0000
Mo 0.5000 0.5000 0.0000
Mo 0.5918 0.0854 0.0000
Mo 0.6941 0.3222 0.0000
Mo 0.8059 0.8222 0.0000
Mo 0.9082 0.5854 0.0000
Pt 0.0074 0.2905 0.5000
Pt 0.4926 0.7905 0.5000
Pt 0.5074 0.2095 0.5000
Pt 0.9926 0.7095 0.5000
Rh 0.1045 0.8812 0.5000
Rh 0.1980 0.5472 0.5000
Rh 0.3020 0.0472 0.5000
Rh 0.3955 0.3812 0.5000
Rh 0.6045 0.6188 0.5000
Rh 0.6980 0.9528 0.5000
Rh 0.8020 0.4528 0.5000
Rh 0.8955 0.1188 0.5000

Largest 10 diffraction maxima, sorted by position, 2θ = 10–80°:
d_spacing	I (rel.)
2.435	430
2.361	235
2.273	846
2.175	1000
2.145	281
1.963	294
1.953	461
1.946	205
1.863	224
1.385	224



This entry pairs a crystal structure of ZrReH with its theoretical powder diffractogram. Radiation: λ = 1.5418 Å (Cu Kα). Structure: DFT lattice parameters and positions (PBE).
No peak broadening, texture or thermal motion is included.

Cell: 4.7871 4.7965 6.7752 Å, 90.00 90.00 90.00°
Element x y z (fractional)
Zr 0.2500 0.0065 0.0000
Zr 0.2500 0.9935 0.5000
Zr 0.7500 0.4935 0.0000
Zr 0.7500 0.5065 0.5000
Re 0.2320 0.5000 0.7500
Re 0.2680 0.5000 0.2500
Re 0.7320 0.0000 0.2500
Re 0.7680 0.0000 0.7500
H 0.0000 0.2500 0.3167
H 0.0000 0.7500 0.1833
H 0.5000 0.2500 0.6833
H 0.5000 0.7500 0.8167

Largest 10 diffraction maxima, sorted by position, 2θ = 10–80°:
d_spacing	I (rel.)
3.388	131
2.396	1000
2.043	14
1.956	39
1.694	173
1.515	45
1.514	7
1.384	235
1.382	110
1.304	8